(1)
The following is a simulated X-ray powder pattern of K3Np2O7. It was derived from DFT lattice parameters and positions (PBE), using Cu Ka.

Atomic structure:
a = 4.306 Å, b = 4.306 Å, c = 22.045 Å
α = 90.00°, β = 90.00°, γ = 90.00°
Space group I4/mmm (No. 139)
Asymmetric unit:
K (0.000, 0.000, 0.000) x2
K (0.000, 0.000, 0.191) x4
Np (0.000, 0.000, 0.403) x4
O (0.000, 0.000, 0.314) x4
O (0.000, 0.000, 0.500) x2
O (0.000, 0.500, 0.095) x8

Largest 6 diffraction maxima, low angle first, 2θ = 5–70°:
d = 11.022 Å, 8.02 deg, I 39, hkl 0 0 2
d = 5.511 Å, 16.08 deg, I 41, hkl 0 0 4
d = 4.226 Å, 21.02 deg, I 87, hkl 1 0 1
d = 3.080 Å, 28.99 deg, I 100, hkl 1 0 5
d = 3.044 Å, 29.34 deg, I 56, hkl 1 1 0
d = 1.765 Å, 51.81 deg, I 41, hkl 2 1 5

(2)
The following is a simulated X-ray powder pattern of K2Np2O7. It was derived from DFT lattice parameters and positions (PBE), using Cu Ka.

Atomic structure:
a = 8.096 Å, b = 11.180 Å, c = 8.281 Å
α = 90.00°, β = 90.00°, γ = 90.00°
Space group Imma (No. 74)
Asymmetric unit:
K (0.000, 0.000, 0.000) x4
K (0.250, 0.250, 0.250) x4
Np (0.000, 0.000, 0.500) x4
Np (0.250, 0.250, 0.750) x4
O (0.000, 0.082, 0.303) x8
O (0.000, 0.250, 0.831) x4
O (0.199, 0.121, 0.581) x16

Largest 6 diffraction maxima, low angle first, 2θ = 5–70°:
d = 6.654 Å, 13.31 deg, I 75, hkl 0 1 1
d = 5.789 Å, 15.31 deg, I 55, hkl 1 0 1
d = 3.327 Å, 26.79 deg, I 100, hkl 0 2 2
d = 3.279 Å, 27.20 deg, I 97, hkl 2 2 0
d = 2.894 Å, 30.89 deg, I 54, hkl 2 0 2
d = 2.011 Å, 45.09 deg, I 55, hkl 2 4 2

(3)
The following is a simulated X-ray powder pattern of K2Np3O8. It was derived from DFT lattice parameters and positions (PBE), using Cu Ka.

Atomic structure:
a = 12.766 Å, b = 6.959 Å, c = 5.976 Å
α = 90.00°, β = 110.58°, γ = 90.00°
Space group C2/m (No. 12)
Asymmetric unit:
K (0.212, 0.000, 0.156) x4
Np (0.000, 0.244, 0.500) x4
Np (0.000, 0.500, 0.000) x2
O (0.088, 0.286, 0.877) x8
O (0.088, 0.500, 0.405) x4
O (0.095, 0.000, 0.466) x4

Largest 6 diffraction maxima, low angle first, 2θ = 5–70°:
d = 5.982 Å, 14.81 deg, I 100, hkl 2 0 0
d = 3.452 Å, 25.81 deg, I 18, hkl 3 1 -1
d = 2.965 Å, 30.14 deg, I 15, hkl 2 0 -2
d = 2.955 Å, 30.25 deg, I 27, hkl 0 2 1
d = 2.869 Å, 31.18 deg, I 31, hkl 2 2 -1
d = 2.328 Å, 38.68 deg, I 22, hkl 4 2 -1

(4)
The following is a simulated X-ray powder pattern of KNp2Pb2O7. It was derived from DFT lattice parameters and positions (PBE), using Cu Ka.

Atomic structure:
a = 4.206 Å, b = 4.239 Å, c = 25.628 Å
α = 90.00°, β = 90.00°, γ = 90.00°
Space group Immm (No. 71)
Asymmetric unit:
K (0.000, 0.000, 0.000) x2
Np (0.000, 0.000, 0.416) x4
Pb (0.000, 0.500, 0.291) x4
O (0.000, 0.000, 0.334) x4
O (0.000, 0.000, 0.500) x2
O (0.000, 0.500, 0.079) x4
O (0.000, 0.500, 0.416) x4

Largest 6 diffraction maxima, low angle first, 2θ = 5–70°:
d = 4.151 Å, 21.41 deg, I 69, hkl 1 0 1
d = 3.266 Å, 27.30 deg, I 100, hkl 0 1 5
d = 2.908 Å, 30.75 deg, I 80, hkl 1 1 2
d = 2.762 Å, 32.42 deg, I 64, hkl 1 0 7
d = 1.768 Å, 51.69 deg, I 41, hkl 2 1 5
d = 1.737 Å, 52.69 deg, I 42, hkl 1 1 12

(5)
The following is a simulated X-ray powder pattern of KNp2PdO8. It was derived from DFT lattice parameters and positions (PBE), using Cu Ka.

Atomic structure:
a = 5.447 Å, b = 5.471 Å, c = 7.013 Å
α = 86.52°, β = 86.51°, γ = 77.33°
Space group P-1 (No. 2)
Asymmetric unit:
K (0.000, 0.000, 0.000) x1
Np (0.500, 0.500, 0.259) x2
Pd (0.000, 0.000, 0.500) x1
O (0.197, 0.772, 0.705) x2
O (0.228, 0.804, 0.295) x2
O (0.350, 0.352, 0.477) x2
O (0.353, 0.355, 0.969) x2

Largest 6 diffraction maxima, low angle first, 2θ = 5–70°:
d = 5.320 Å, 16.67 deg, I 83, hkl 0 1 0
d = 4.249 Å, 20.90 deg, I 100, hkl 1 1 0
d = 3.411 Å, 26.13 deg, I 51, hkl 1 -1 0
d = 2.989 Å, 29.89 deg, I 62, hkl 1 0 2
d = 2.858 Å, 31.30 deg, I 48, hkl 1 0 -2
d = 2.026 Å, 44.73 deg, I 26, hkl 2 1 -2

(6)
The following is a simulated X-ray powder pattern of K4PuNp3O12. It was derived from DFT lattice parameters and positions (PBE), using Cu Ka.

Atomic structure:
a = 8.597 Å, b = 8.597 Å, c = 8.597 Å
α = 90.00°, β = 90.00°, γ = 90.00°
Space group Im-3m (No. 229)
Asymmetric unit:
K (0.250, 0.250, 0.250) x8
Pu (0.000, 0.000, 0.000) x2
Np (0.000, 0.000, 0.500) x6
O (0.000, 0.000, 0.258) x12
O (0.000, 0.250, 0.500) x12

Largest 6 diffraction maxima, low angle first, 2θ = 5–70°:
d = 4.299 Å, 20.66 deg, I 77, hkl 2 0 0
d = 3.040 Å, 29.38 deg, I 100, hkl 2 2 0
d = 2.149 Å, 42.04 deg, I 30, hkl 4 0 0
d = 1.922 Å, 47.28 deg, I 37, hkl 4 2 0
d = 1.755 Å, 52.12 deg, I 42, hkl 4 2 2
d = 1.520 Å, 60.96 deg, I 19, hkl 4 4 0

(7)
The following is a simulated X-ray powder pattern of KRb2Np2O7. It was derived from DFT lattice parameters and positions (PBE), using Cu Ka.

Atomic structure:
a = 4.319 Å, b = 4.319 Å, c = 22.822 Å
α = 90.00°, β = 90.00°, γ = 90.00°
Space group I4/mmm (No. 139)
Asymmetric unit:
K (0.000, 0.000, 0.000) x2
Rb (0.000, 0.000, 0.190) x4
Np (0.000, 0.000, 0.407) x4
O (0.000, 0.000, 0.321) x4
O (0.000, 0.000, 0.500) x2
O (0.000, 0.500, 0.092) x8

Largest 6 diffraction maxima, low angle first, 2θ = 5–70°:
d = 5.706 Å, 15.53 deg, I 26, hkl 0 0 4
d = 4.243 Å, 20.94 deg, I 53, hkl 1 0 1
d = 3.137 Å, 28.45 deg, I 100, hkl 1 0 5
d = 3.054 Å, 29.25 deg, I 54, hkl 1 1 0
d = 2.159 Å, 41.83 deg, I 29, hkl 2 0 0
d = 1.779 Å, 51.37 deg, I 40, hkl 2 1 5

(8)
The following is a simulated X-ray powder pattern of KNpSc2O8. It was derived from DFT lattice parameters and positions (PBE), using Cu Ka.

Atomic structure:
a = 6.984 Å, b = 7.112 Å, c = 7.210 Å
α = 90.00°, β = 90.00°, γ = 90.00°
Space group Cmmm (No. 65)
Asymmetric unit:
K (0.000, 0.000, 0.000) x2
Np (0.000, 0.000, 0.500) x2
Sc (0.000, 0.500, 0.284) x4
O (0.000, 0.307, 0.500) x4
O (0.000, 0.394, 0.000) x4
O (0.195, 0.000, 0.304) x8

Largest 6 diffraction maxima, low angle first, 2θ = 5–70°:
d = 7.210 Å, 12.28 deg, I 100, hkl 0 0 1
d = 4.983 Å, 17.80 deg, I 42, hkl 1 1 0
d = 4.099 Å, 21.68 deg, I 76, hkl 1 1 1
d = 3.556 Å, 25.04 deg, I 65, hkl 0 2 0
d = 3.492 Å, 25.51 deg, I 51, hkl 2 0 0
d = 2.921 Å, 30.61 deg, I 79, hkl 1 1 2

(9)
The following is a simulated X-ray powder pattern of K3NpSi2O8. It was derived from DFT lattice parameters and positions (PBE), using Cu Ka.

Atomic structure:
a = 5.6980 Å, b = 5.6980 Å, c = 8.1641 Å
α = 90.00°, β = 90.00°, γ = 120.00°
Space group P-3m1 (No. 164)
Asymmetric unit:
K (0.0000, 0.0000, 0.0000) x1
K (0.3333, 0.6667, 0.7660) x2
Np (0.0000, 0.0000, 0.5000) x1
Si (0.3333, 0.6667, 0.2700) x2
O (0.1760, 0.3521, 0.3453) x6
O (0.3333, 0.6667, 0.0755) x2

Largest 6 diffraction maxima, low angle first, 2θ = 5–70°:
d = 8.164 Å, 10.84 deg, I 63, hkl 0 0 1
d = 4.935 Å, 17.98 deg, I 50, hkl 1 0 0
d = 4.223 Å, 21.04 deg, I 85, hkl 1 0 1
d = 3.145 Å, 28.38 deg, I 100, hkl 1 0 2
d = 2.849 Å, 31.40 deg, I 61, hkl 1 1 0
d = 2.112 Å, 42.83 deg, I 38, hkl 2 0 2

(10)
The following is a simulated X-ray powder pattern of KNpTeO5. It was derived from DFT lattice parameters and positions (PBE), using Cu Ka.

Atomic structure:
a = 6.600 Å, b = 11.406 Å, c = 8.115 Å
α = 90.00°, β = 104.15°, γ = 90.00°
Space group C2/c (No. 15)
Asymmetric unit:
K (0.000, 0.154, 0.250) x4
Np (0.000, 0.500, 0.000) x4
Te (0.000, 0.178, 0.750) x4
O (0.000, 0.440, 0.750) x4
O (0.106, 0.355, 0.459) x8
O (0.157, 0.071, 0.909) x8

Largest 6 diffraction maxima, low angle first, 2θ = 5–70°:
d = 5.581 Å, 15.88 deg, I 72, hkl 1 1 0
d = 3.597 Å, 24.75 deg, I 94, hkl 1 1 -2
d = 3.269 Å, 27.28 deg, I 100, hkl 1 3 0
d = 3.239 Å, 27.54 deg, I 69, hkl 0 2 2
d = 3.200 Å, 27.88 deg, I 58, hkl 2 0 0
d = 2.935 Å, 30.46 deg, I 44, hkl 1 1 2

(11)
The following is a simulated X-ray powder pattern of K2ThNpO6. It was derived from DFT lattice parameters and positions (PBE), using Cu Ka.

Atomic structure:
a = 6.215 Å, b = 8.789 Å, c = 6.215 Å
α = 90.00°, β = 90.00°, γ = 90.00°
Space group Pmmn (No. 59, origin choice 2)
Asymmetric unit:
K (0.250, 0.000, 0.250) x4
Th (0.250, 0.250, 0.750) x2
Np (0.250, 0.750, 0.750) x2
O (0.012, 0.750, 0.513) x4
O (0.013, 0.750, 0.988) x4
O (0.250, 0.513, 0.750) x4

Largest 6 diffraction maxima, low angle first, 2θ = 5–70°:
d = 4.395 Å, 20.21 deg, I 75, hkl 1 0 1
d = 3.107 Å, 28.73 deg, I 100, hkl 2 0 0
d = 2.197 Å, 41.08 deg, I 30, hkl 2 0 2
d = 1.965 Å, 46.19 deg, I 37, hkl 3 0 1
d = 1.794 Å, 50.90 deg, I 42, hkl 3 2 1
d = 1.554 Å, 59.49 deg, I 19, hkl 4 0 0

(12)
The following is a simulated X-ray powder pattern of K4Np3TlO12. It was derived from DFT lattice parameters and positions (PBE), using Cu Ka.

Atomic structure:
a = 8.829 Å, b = 8.829 Å, c = 8.829 Å
α = 90.00°, β = 90.00°, γ = 90.00°
Space group Im-3m (No. 229)
Asymmetric unit:
K (0.250, 0.250, 0.250) x8
Np (0.000, 0.000, 0.500) x6
Tl (0.000, 0.000, 0.000) x2
O (0.000, 0.000, 0.288) x12
O (0.000, 0.250, 0.500) x12

Largest 6 diffraction maxima, low angle first, 2θ = 5–70°:
d = 4.415 Å, 20.11 deg, I 75, hkl 2 0 0
d = 3.122 Å, 28.60 deg, I 100, hkl 2 2 0
d = 2.207 Å, 40.88 deg, I 30, hkl 4 0 0
d = 1.974 Å, 45.97 deg, I 35, hkl 4 2 0
d = 1.802 Å, 50.65 deg, I 41, hkl 4 2 2
d = 1.396 Å, 67.04 deg, I 19, hkl 6 2 0